# 1
# NpO2F
Theoretical X-ray diffraction stick pattern, Cu Kα X-rays. Input: a PBE-relaxed structure.
Intensities are scaled so that the largest is 100.

Lattice parameters (Å, degrees): 3.375 3.375 12.143 90.00 90.00 90.00
Space group I4mm (No. 107)
Inequivalent atoms, fractional coordinates:
Np 0.000 0.000 0.000 [2 per cell]
O 0.000 0.000 0.504 [2 per cell]
O 0.000 0.000 0.852 [2 per cell]
F 0.000 0.000 0.163 [2 per cell]

Main lines, by angle (5 to 70 degrees two-theta):
- 2θ = 14.6°, I = 100
- 2θ = 27.4°, I = 93
- 2θ = 34.6°, I = 30
- 2θ = 37.7°, I = 30
- 2θ = 40.6°, I = 33
- 2θ = 59.9°, I = 26


# 2
# RbCaCuO2
Theoretical X-ray diffraction stick pattern, Cu Kα X-rays. Input: a PBE-relaxed structure.
Intensities are scaled so that the largest is 100.

Lattice parameters (Å, degrees): 6.645 12.696 4.917 90.00 90.00 90.00
Space group Cmme (No. 67)
Inequivalent atoms, fractional coordinates:
Rb 0.000 0.250 0.207 [4 per cell]
Ca 0.250 0.000 0.500 [4 per cell]
Cu 0.000 0.000 0.000 [4 per cell]
O 0.000 0.093 0.716 [8 per cell]

Main lines, by angle (5 to 70 degrees two-theta):
- 2θ = 23.6°, I = 61
- 2θ = 26.8°, I = 59
- 2θ = 28.1°, I = 72
- 2θ = 31.0°, I = 100
- 2θ = 39.3°, I = 73
- 2θ = 43.5°, I = 54